Record 1
# Ca6AlTl
Calculated powder diffractogram, CuKα. Input: a structure optimized by DFT (GGA-PBE).

Peak list (10 most intense, 2θ from 10° to 80°, in order of rising 2θ)
2θ/deg	d [Å]	I (rel.)
17.0	5.210	551
21.6	4.113	331
28.7	3.106	157
30.0	2.979	1000
33.1	2.709	449
36.9	2.438	233
37.4	2.404	164
39.8	2.262	142
47.5	1.916	156
57.2	1.611	301

Cell and atoms:
Cell: 10.223 10.223 10.223 Å, 149.27 149.27 44.02°
Fractional positions:
Ca1 0.098 0.598 0.500
Ca2 0.249 0.249 0.000
Ca3 0.402 0.902 0.500
Ca4 0.598 0.098 0.500
Ca5 0.751 0.751 0.000
Ca6 0.902 0.402 0.500
Al1 0.000 0.000 0.000
Tl1 0.500 0.500 0.000



Record 2
# Ga3Pd2Pt7
Calculated powder diffractogram, CuKα. Input: a structure optimized by DFT (GGA-PBE).

Peak list (10 most intense, 2θ from 10° to 80°, in order of rising 2θ)
2θ/deg	d [Å]	I (rel.)
18.9	4.704	328
32.0	2.795	344
37.1	2.426	245
38.3	2.352	535
38.8	2.321	824
39.1	2.303	622
41.7	2.164	984
45.1	2.008	1000
50.7	1.802	278
65.4	1.426	277

Cell and atoms:
Cell: 4.703 2.852 14.114 Å, 90.00 90.28 90.00°
Fractional positions:
Ga1 0.000 0.000 0.000
Ga2 0.241 0.500 0.690
Ga3 0.759 0.500 0.310
Pd1 0.245 0.000 0.341
Pd2 0.755 0.000 0.659
Pt1 0.084 0.500 0.157
Pt2 0.251 0.000 0.543
Pt3 0.424 0.000 0.830
Pt4 0.500 0.500 0.000
Pt5 0.576 0.000 0.170
Pt6 0.749 0.000 0.457
Pt7 0.916 0.500 0.843